Entry 1:
Diffraction record for Ba2Fe4AsP3. The powder diffraction line list is calculated, not measured: it uses a cell relaxed with GGA-PBE and Cu Kα (λ = 1.5418 Å).
Peak positions follow from Bragg's law for the DFT cell and can differ from measured ones.

Atomic structure:
Lattice parameters (Å, degrees): 5.459 6.778 6.778 47.56 90.00 90.00
Atoms (fractional coordinates):
Ba  0.000  0.000  0.000
Ba  0.500  0.499  0.499
Fe  0.254  0.498  0.990
Fe  0.254  0.990  0.498
Fe  0.746  0.498  0.990
Fe  0.746  0.990  0.498
As  0.000  0.344  0.344
P  0.000  0.659  0.659
P  0.500  0.158  0.158
P  0.500  0.833  0.833

Top 12 peaks for 15° ≤ 2θ ≤ 90°, low angle first:
Position (°2θ)	I (rel.)
24.1	32
28.8	26
31.7	100
32.8	9
35.9	72
43.3	11
47.0	39
55.8	44
56.1	15
57.8	34
79.2	8
80.1	13

=====

Entry 2:
Diffraction record for TbAg5. The powder diffraction line list is calculated, not measured: it uses a cell relaxed with GGA-PBE and Cu Kα (λ = 1.5418 Å).
Peak positions follow from Bragg's law for the DFT cell and can differ from measured ones.

Atomic structure:
Lattice parameters (Å, degrees): 6.581 6.581 4.356 90.00 90.00 140.51
Atoms (fractional coordinates):
Tb  0.000  0.000  0.000
Ag  0.173  0.827  0.500
Ag  0.329  0.671  0.000
Ag  0.500  0.500  0.500
Ag  0.671  0.329  0.000
Ag  0.827  0.173  0.500

Top 12 peaks for 15° ≤ 2θ ≤ 90°, low angle first:
Position (°2θ)	I (rel.)
36.1	100
40.6	18
41.5	17
43.9	14
59.4	11
61.3	10
61.9	10
70.9	13
72.2	12
75.5	10
76.7	10
87.8	2

=====

Entry 3:
Diffraction record for K2O2F. The powder diffraction line list is calculated, not measured: it uses a cell relaxed with GGA-PBE and Cu Kα (λ = 1.5418 Å).
Peak positions follow from Bragg's law for the DFT cell and can differ from measured ones.

Atomic structure:
Lattice parameters (Å, degrees): 6.744 6.744 8.770 90.00 90.00 149.53
Atoms (fractional coordinates):
K  0.004  0.996  0.500
K  0.196  0.804  0.254
K  0.804  0.196  0.754
K  0.996  0.004  0.000
O  0.213  0.787  0.947
O  0.309  0.691  0.007
O  0.691  0.309  0.507
O  0.787  0.213  0.447
F  0.459  0.541  0.720
F  0.541  0.459  0.220

Top 12 peaks for 15° ≤ 2θ ≤ 90°, low angle first:
Position (°2θ)	I (rel.)
17.0	55
24.5	25
26.1	19
27.4	39
28.0	48
33.2	34
34.3	34
38.7	100
40.6	27
41.2	32
43.1	22
51.6	19

=====

Entry 4:
Diffraction record for PrEr2TmSb4. The powder diffraction line list is calculated, not measured: it uses a cell relaxed with GGA-PBE and Cu Kα (λ = 1.5418 Å).
Peak positions follow from Bragg's law for the DFT cell and can differ from measured ones.

Atomic structure:
Lattice parameters (Å, degrees): 7.624 7.624 7.624 131.78 131.78 70.58
Atoms (fractional coordinates):
Pr  0.000  0.000  0.000
Er  0.250  0.750  0.500
Er  0.750  0.250  0.500
Tm  0.500  0.500  0.000
Sb  0.000  0.500  0.500
Sb  0.255  0.255  0.000
Sb  0.500  0.000  0.500
Sb  0.745  0.745  0.000

Top 11 peaks for 15° ≤ 2θ ≤ 90°, low angle first:
Position (°2θ)	I (rel.)
24.8	4
28.7	100
41.0	76
48.5	2
50.8	27
59.4	13
65.3	1
67.2	35
74.7	26
80.1	1
88.9	9

=====

Entry 5:
Diffraction record for Ag2BF5. The powder diffraction line list is calculated, not measured: it uses a cell relaxed with GGA-PBE and Cu Kα (λ = 1.5418 Å).
Peak positions follow from Bragg's law for the DFT cell and can differ from measured ones.

Atomic structure:
Lattice parameters (Å, degrees): 6.312 6.312 8.069 112.95 112.95 90.03
Atoms (fractional coordinates):
Ag  0.000  0.000  0.000
Ag  0.000  0.000  0.500
Ag  0.000  0.500  0.000
Ag  0.500  0.000  0.500
B  0.375  0.625  0.750
B  0.625  0.375  0.250
F  0.125  0.875  0.250
F  0.252  0.686  0.872
F  0.314  0.380  0.629
F  0.314  0.748  0.628
F  0.380  0.314  0.129
F  0.620  0.686  0.871
F  0.686  0.252  0.372
F  0.686  0.620  0.371
F  0.748  0.314  0.128
F  0.875  0.125  0.750

Top 12 peaks for 15° ≤ 2θ ≤ 90°, low angle first:
Position (°2θ)	I (rel.)
15.5	100
24.3	86
26.5	34
31.3	76
32.4	51
37.6	66
40.4	37
43.5	18
47.7	16
49.0	40
49.9	45
67.8	21

=====

Entry 6:
Diffraction record for Ca4Zn2Cu3P5. The powder diffraction line list is calculated, not measured: it uses a cell relaxed with GGA-PBE and Cu Kα (λ = 1.5418 Å).
Peak positions follow from Bragg's law for the DFT cell and can differ from measured ones.

Atomic structure:
Lattice parameters (Å, degrees): 4.041 4.041 37.410 90.00 90.00 120.00
Atoms (fractional coordinates):
Ca  0.000  0.000  0.091
Ca  0.000  0.000  0.197
Ca  0.000  0.000  0.303
Ca  0.000  0.000  0.409
Ca  0.000  0.000  0.591
Ca  0.000  0.000  0.697
Ca  0.000  0.000  0.803
Ca  0.000  0.000  0.909
Zn  0.333  0.667  0.024
Zn  0.333  0.667  0.476
Zn  0.667  0.333  0.524
Zn  0.667  0.333  0.976
Cu  0.333  0.667  0.250
Cu  0.333  0.667  0.644
Cu  0.333  0.667  0.856
Cu  0.667  0.333  0.144
Cu  0.667  0.333  0.356
Cu  0.667  0.333  0.750
P  0.333  0.667  0.144
P  0.333  0.667  0.356
P  0.333  0.667  0.544
P  0.333  0.667  0.750
P  0.333  0.667  0.956
P  0.667  0.333  0.044
P  0.667  0.333  0.250
P  0.667  0.333  0.456
P  0.667  0.333  0.644
P  0.667  0.333  0.856

Top 12 peaks for 15° ≤ 2θ ≤ 90°, low angle first:
Position (°2θ)	I (rel.)
19.0	15
28.2	28
29.3	16
31.9	48
35.1	96
40.6	29
43.5	22
44.9	100
58.2	20
64.3	38
76.3	24
82.7	15

=====

Entry 7:
Diffraction record for Pr6Dy2Tm. The powder diffraction line list is calculated, not measured: it uses a cell relaxed with GGA-PBE and Cu Kα (λ = 1.5418 Å).
Peak positions follow from Bragg's law for the DFT cell and can differ from measured ones.

Atomic structure:
Lattice parameters (Å, degrees): 10.205 10.205 6.293 95.12 95.12 71.57
Atoms (fractional coordinates):
Pr  0.092  0.812  0.986
Pr  0.146  0.426  0.152
Pr  0.188  0.908  0.514
Pr  0.243  0.523  0.680
Pr  0.426  0.146  0.652
Pr  0.477  0.757  0.820
Pr  0.523  0.243  0.180
Pr  0.574  0.854  0.348
Pr  0.757  0.477  0.320
Pr  0.812  0.092  0.486
Pr  0.854  0.574  0.848
Pr  0.908  0.188  0.014
Dy  0.066  0.268  0.582
Dy  0.268  0.066  0.082
Dy  0.732  0.934  0.918
Dy  0.934  0.732  0.418
Tm  0.399  0.601  0.250
Tm  0.601  0.399  0.750

Top 12 peaks for 15° ≤ 2θ ≤ 90°, low angle first:
Position (°2θ)	I (rel.)
29.4	62
29.9	49
30.2	59
31.1	100
36.5	33
37.1	29
48.4	12
49.0	14
50.5	13
53.9	22
54.5	22
64.9	14

=====

Entry 8:
Diffraction record for Th8CoSe4S3. The powder diffraction line list is calculated, not measured: it uses a cell relaxed with GGA-PBE and Cu Kα (λ = 1.5418 Å).
Peak positions follow from Bragg's law for the DFT cell and can differ from measured ones.

Atomic structure:
Lattice parameters (Å, degrees): 8.378 8.378 8.378 58.52 58.52 58.52
Atoms (fractional coordinates):
Th  0.244  0.244  0.244
Th  0.252  0.738  0.738
Th  0.262  0.262  0.748
Th  0.262  0.748  0.262
Th  0.738  0.252  0.738
Th  0.738  0.738  0.252
Th  0.748  0.262  0.262
Th  0.756  0.756  0.756
Co  0.500  0.500  0.500
Se  0.000  0.000  0.000
Se  0.000  0.500  0.500
Se  0.500  0.000  0.500
Se  0.500  0.500  0.000
S  0.000  0.000  0.500
S  0.000  0.500  0.000
S  0.500  0.000  0.000

Top 12 peaks for 15° ≤ 2θ ≤ 90°, low angle first:
Position (°2θ)	I (rel.)
25.8	15
26.6	46
30.5	100
43.2	36
44.2	37
51.9	15
52.3	8
54.7	19
63.6	11
71.4	14
72.9	17
80.7	12